[1]
NbBrCl3: computed powder XRD pattern (λ = 1.5418 Å (Cu Kα)), based on DFT lattice parameters and positions (PBE).
Neutral-atom scattering factors, no anomalous dispersion.

The 6 most intense peaks (10 to 80 degrees two-theta), most intense first:
2θ (°), I/Imax
19.46, 100.0
12.07, 93.7
24.28, 90.5
39.51, 39.8
13.49, 29.6
14.37, 29.1

Structure:
Lattice parameters (Å, degrees): 8.4165 8.4165 8.4165 65.63 65.63 65.63
Fractional coordinates of all 10 atoms:
1 Nb 0.1344 0.1344 0.1344
2 Nb 0.8656 0.8656 0.8656
3 Br 0.2580 0.2580 0.2580
4 Br 0.7420 0.7420 0.7420
5 Cl 0.1771 0.7675 0.7675
6 Cl 0.2325 0.2325 0.8229
7 Cl 0.2325 0.8229 0.2325
8 Cl 0.7675 0.1771 0.7675
9 Cl 0.7675 0.7675 0.1771
10 Cl 0.8229 0.2325 0.2325

---

[2]
La2NdRu2: computed powder XRD pattern (λ = 1.5418 Å (Cu Kα)), based on DFT lattice parameters and positions (PBE).
Neutral-atom scattering factors, no anomalous dispersion.

The 6 most intense peaks (10 to 80 degrees two-theta), most intense first:
2θ (°), I/Imax
30.89, 100.0
32.82, 60.8
37.37, 55.6
35.47, 37.1
25.55, 37.1
38.45, 35.6

Structure:
Lattice parameters (Å, degrees): 5.1905 4.8124 11.1447 90.00 102.76 90.00
Fractional coordinates of all 10 atoms:
1 La 0.1645 0.2500 0.1102
2 La 0.2215 0.2500 0.4471
3 La 0.7785 0.7500 0.5529
4 La 0.8355 0.7500 0.8898
5 Nd 0.2995 0.2500 0.7874
6 Nd 0.7005 0.7500 0.2126
7 Ru 0.2756 0.7500 0.6478
8 Ru 0.3199 0.7500 0.9553
9 Ru 0.6801 0.2500 0.0447
10 Ru 0.7244 0.2500 0.3522